Pr2MgIn: computed powder X-ray diffraction pattern (Cu Kα), based on a DFT-relaxed cell (PBE, the Materials Project).
No peak broadening, texture or thermal motion is included.

Atomic structure:
```
data_Pr2MgIn
_cell_length_a 7.810
_cell_length_b 7.810
_cell_length_c 7.810
_cell_angle_alpha 90.00
_cell_angle_beta 90.00
_cell_angle_gamma 90.00
_space_group_name_H-M_alt 'F m -3 m'
_space_group_IT_number 225
_space_group_name_Hall '-F 4 2 3'
loop_
_atom_site_label
_atom_site_type_symbol
_atom_site_fract_x
_atom_site_fract_y
_atom_site_fract_z
Pr1 Pr 0.250 0.250 0.250
Mg1 Mg 0.000 0.000 0.000
In1 In 0.000 0.000 0.500
```

Main lines, in order of falling intensity (2θ = 10–80°):
hkl 2 2 0, 2θ = 32.4°, I = 100; hkl 4 2 2, 2θ = 57.8°, I = 38; hkl 4 0 0, 2θ = 46.5°, I = 18; hkl 6 2 0, 2θ = 77.3°, I = 16; hkl 2 0 0, 2θ = 22.8°, I = 13; hkl 4 4 0, 2θ = 67.9°, I = 12; hkl 1 1 1, 2θ = 19.7°, I = 10; hkl 3 1 1, 2θ = 38.2°, I = 6